Structure and simulated X-ray diffraction stick pattern of LaPm5Er5 (a DFT-relaxed cell (PBE, Alexandria); Cu Kα (weighted mean of Kα1 and Kα2)).
Lines closer than 0.1° are merged.

Cell and atoms:
Cell: 6.114 6.114 11.832 Å, 90.00 90.00 120.00°
Fractional coordinates of all 11 atoms:
La  0.000  0.000  0.000
Pm  0.000  0.000  0.322
Pm  0.000  0.000  0.678
Pm  0.333  0.667  0.157
Pm  0.333  0.667  0.843
Pm  0.667  0.333  0.000
Er  0.500  0.001  0.500
Er  0.500  0.500  0.500
Er  0.667  0.333  0.266
Er  0.667  0.333  0.734
Er  0.999  0.500  0.500

Top 12 peaks for 2θ from 10° to 90°, in order of rising 2θ:
Position (°2θ), I (rel.)
28.21, 100
29.21, 84
30.20, 44
32.98, 28
34.73, 76
37.21, 54
46.01, 32
51.19, 39
51.81, 29
55.44, 23
58.35, 18
60.58, 29

Structure and simulated X-ray diffraction stick pattern of La3Pm4Er5 (a DFT-relaxed cell (PBE, Alexandria); Cu Kα (weighted mean of Kα1 and Kα2)).
Lines closer than 0.1° are merged.

Cell and atoms:
Cell: 6.257 7.225 8.870 Å, 89.79 89.91 89.94°
Fractional coordinates of all 12 atoms:
La  0.000  0.000  0.000
La  0.169  0.250  0.332
La  0.831  0.750  0.668
Pm  0.171  0.750  0.332
Pm  0.331  0.499  0.670
Pm  0.669  0.501  0.330
Pm  0.829  0.250  0.668
Er  0.000  0.500  0.000
Er  0.335  0.000  0.670
Er  0.498  0.750  0.000
Er  0.502  0.250  0.000
Er  0.665  0.000  0.330

Top 12 peaks for 2θ from 10° to 90°, in order of rising 2θ:
Position (°2θ), I (rel.)
30.26, 100
30.33, 33
35.08, 45
35.16, 22
50.34, 8
50.52, 40
59.90, 19
60.05, 29
60.11, 9
62.88, 8
82.31, 8
84.91, 11

Structure and simulated X-ray diffraction stick pattern of La12PmEr6 (a DFT-relaxed cell (PBE, Alexandria); Cu Kα (weighted mean of Kα1 and Kα2)).
Lines closer than 0.1° are merged.

Cell and atoms:
Cell: 9.680 9.680 9.680 Å, 110.83 110.83 110.83°
Fractional coordinates of all 19 atoms:
La  0.057  0.580  0.372
La  0.105  0.158  0.737
La  0.158  0.737  0.105
La  0.263  0.895  0.842
La  0.372  0.057  0.580
La  0.420  0.628  0.943
La  0.580  0.372  0.057
La  0.628  0.943  0.420
La  0.737  0.105  0.158
La  0.842  0.263  0.895
La  0.895  0.842  0.263
La  0.943  0.420  0.628
Pm  0.000  0.000  0.000
Er  0.217  0.320  0.472
Er  0.320  0.472  0.217
Er  0.472  0.217  0.320
Er  0.528  0.783  0.680
Er  0.680  0.528  0.783
Er  0.783  0.680  0.528

Top 12 peaks for 2θ from 10° to 90°, in order of rising 2θ:
Position (°2θ), I (rel.)
29.74, 34
29.91, 100
34.62, 68
49.67, 24
49.88, 24
58.97, 15
59.19, 43
62.14, 12
73.05, 8
81.05, 12
83.26, 11
83.59, 11

Structure and simulated X-ray diffraction stick pattern of La3Pm2Er7 (a DFT-relaxed cell (PBE, Alexandria); Cu Kα (weighted mean of Kα1 and Kα2)).
Lines closer than 0.1° are merged.

Cell and atoms:
Cell: 6.368 3.555 17.661 Å, 90.00 96.46 90.00°
Fractional coordinates of all 12 atoms:
La  0.000  0.000  0.000
La  0.044  0.500  0.660
La  0.956  0.500  0.340
Pm  0.448  0.000  0.325
Pm  0.552  0.000  0.675
Er  0.229  0.500  0.164
Er  0.247  0.000  0.499
Er  0.277  0.000  0.836
Er  0.500  0.500  0.000
Er  0.723  0.000  0.164
Er  0.753  0.000  0.501
Er  0.771  0.500  0.836

Top 12 peaks for 2θ from 10° to 90°, in order of rising 2θ:
Position (°2θ), I (rel.)
29.54, 29
30.57, 100
31.13, 57
33.69, 35
34.50, 38
37.64, 18
50.05, 19
51.40, 13
52.41, 13
61.00, 28
62.88, 12
81.41, 13

Structure and simulated X-ray diffraction stick pattern of La4Pm2Er7 (a DFT-relaxed cell (PBE, Alexandria); Cu Kα (weighted mean of Kα1 and Kα2)).
Lines closer than 0.1° are merged.

Cell and atoms:
Cell: 5.635 8.976 9.204 Å, 97.43 90.02 108.29°
Fractional coordinates of all 13 atoms:
La  0.048  0.096  0.233
La  0.123  0.248  0.638
La  0.877  0.752  0.362
La  0.952  0.904  0.767
Pm  0.414  0.830  0.120
Pm  0.586  0.170  0.880
Er  0.201  0.401  0.020
Er  0.269  0.537  0.392
Er  0.330  0.662  0.759
Er  0.500  0.000  0.500
Er  0.670  0.338  0.241
Er  0.731  0.463  0.608
Er  0.799  0.599  0.980

Top 12 peaks for 2θ from 10° to 90°, in order of rising 2θ:
Position (°2θ), I (rel.)
29.86, 19
31.26, 100
31.76, 30
33.28, 18
35.38, 7
44.15, 13
45.41, 8
52.77, 6
56.26, 19
56.47, 8
62.93, 6
63.38, 7

Structure and simulated X-ray diffraction stick pattern of La3Pm5Er3 (a DFT-relaxed cell (PBE, Alexandria); Cu Kα (weighted mean of Kα1 and Kα2)).
Lines closer than 0.1° are merged.

Cell and atoms:
Cell: 9.650 9.650 5.558 Å, 90.00 90.00 120.00°
Fractional coordinates of all 11 atoms:
La  0.000  0.617  0.000
La  0.383  0.383  0.000
La  0.617  0.000  0.000
Pm  0.000  0.383  0.500
Pm  0.333  0.667  0.500
Pm  0.383  0.000  0.500
Pm  0.617  0.617  0.500
Pm  0.667  0.333  0.500
Er  0.000  0.774  0.500
Er  0.226  0.226  0.500
Er  0.774  0.000  0.500

Top 12 peaks for 2θ from 10° to 90°, in order of rising 2θ:
Position (°2θ), I (rel.)
15.95, 54
18.39, 19
24.43, 32
28.25, 34
32.17, 79
32.61, 100
40.78, 23
43.37, 21
46.14, 29
52.84, 19
57.69, 20
65.13, 12

Structure and simulated X-ray diffraction stick pattern of La2PmPr2Er (a DFT-relaxed cell (PBE, Alexandria); Cu Kα (weighted mean of Kα1 and Kα2)).
Lines closer than 0.1° are merged.

Cell and atoms:
Cell: 5.812 10.104 7.164 Å, 90.00 90.00 90.00°
Fractional coordinates of all 12 atoms:
La  0.000  0.001  0.000
La  0.000  0.999  0.500
La  0.500  0.173  0.250
La  0.500  0.827  0.750
Pm  0.500  0.500  0.000
Pm  0.500  0.500  0.500
Pr  0.000  0.332  0.250
Pr  0.000  0.668  0.750
Pr  0.500  0.165  0.750
Pr  0.500  0.835  0.250
Er  0.000  0.339  0.750
Er  0.000  0.661  0.250

Top 12 peaks for 2θ from 10° to 90°, in order of rising 2θ:
Position (°2θ), I (rel.)
30.64, 100
30.77, 21
39.90, 8
43.91, 21
50.99, 5
54.50, 19
54.63, 16
60.71, 19
63.89, 5
77.99, 6
86.01, 5
88.79, 6

Structure and simulated X-ray diffraction stick pattern of LaPm2Pr6Er (a DFT-relaxed cell (PBE, Alexandria); Cu Kα (weighted mean of Kα1 and Kα2)).
Lines closer than 0.1° are merged.

Cell and atoms:
Cell: 9.056 9.056 9.926 Å, 94.06 94.06 117.67°
Fractional coordinates of all 20 atoms:
La  0.022  0.978  0.750
La  0.978  0.022  0.250
Pm  0.198  0.297  0.545
Pm  0.297  0.198  0.045
Pm  0.703  0.802  0.955
Pm  0.802  0.703  0.455
Pr  0.011  0.566  0.688
Pr  0.118  0.749  0.054
Pr  0.251  0.882  0.446
Pr  0.297  0.507  0.882
Pr  0.434  0.989  0.812
Pr  0.493  0.703  0.618
Pr  0.507  0.297  0.382
Pr  0.566  0.011  0.188
Pr  0.703  0.493  0.118
Pr  0.749  0.118  0.554
Pr  0.882  0.251  0.946
Pr  0.989  0.434  0.312
Er  0.409  0.591  0.250
Er  0.591  0.409  0.750

Top 12 peaks for 2θ from 10° to 90°, in order of rising 2θ:
Position (°2θ), I (rel.)
27.11, 17
27.70, 35
29.61, 93
30.04, 10
30.46, 100
30.63, 37
31.38, 17
32.68, 43
33.31, 13
49.00, 11
51.70, 10
58.47, 10